Simulated powder diffraction line list
Compound: TcAs2
Radiation: Cu Kα (weighted mean of Kα1 and Kα2)
Structure: a PBE-relaxed structure
Lines closer than 0.1° are merged.

Crystal structure
a = 7.238 Å, b = 7.238 Å, c = 3.188 Å
α = 90.00°, β = 90.00°, γ = 120.00°
Positions (direct):
Tc 0.000 0.000 0.000
Tc 0.333 0.667 0.500
Tc 0.667 0.333 0.500
As 0.000 0.281 0.500
As 0.000 0.615 0.000
As 0.281 0.000 0.500
As 0.385 0.385 0.000
As 0.615 0.000 0.000
As 0.719 0.719 0.500

Principal peaks in the range 2θ from 10° to 90°, sorted by position:
- 2θ = 31.48°, rel. 15
- 2θ = 37.60°, rel. 100
- 2θ = 37.98°, rel. 30
- 2θ = 40.36°, rel. 77
- 2θ = 43.30°, rel. 93
- 2θ = 47.83°, rel. 41
- 2θ = 57.85°, rel. 19
- 2θ = 72.04°, rel. 38
- 2θ = 74.94°, rel. 36
- 2θ = 82.71°, rel. 15



Simulated powder diffraction line list
Compound: FeCo8S8
Radiation: Cu Kα (weighted mean of Kα1 and Kα2)
Structure: a PBE-relaxed structure
Lines closer than 0.1° are merged.

Crystal structure
a = 6.901 Å, b = 6.901 Å, c = 6.901 Å
α = 60.00°, β = 60.00°, γ = 60.00°
Positions (direct):
Fe 0.000 0.000 0.000
Co 0.122 0.626 0.626
Co 0.374 0.374 0.374
Co 0.374 0.374 0.878
Co 0.374 0.878 0.374
Co 0.626 0.122 0.626
Co 0.626 0.626 0.122
Co 0.626 0.626 0.626
Co 0.878 0.374 0.374
S 0.235 0.235 0.765
S 0.235 0.765 0.235
S 0.235 0.765 0.765
S 0.250 0.250 0.250
S 0.750 0.750 0.750
S 0.765 0.235 0.235
S 0.765 0.235 0.765
S 0.765 0.765 0.235

Principal peaks in the range 2θ from 10° to 90°, sorted by position:
- 2θ = 15.73°, rel. 24
- 2θ = 30.38°, rel. 87
- 2θ = 31.76°, rel. 20
- 2θ = 40.28°, rel. 17
- 2θ = 48.47°, rel. 35
- 2θ = 53.08°, rel. 100
- 2θ = 62.40°, rel. 10
- 2θ = 74.71°, rel. 15
- 2θ = 78.39°, rel. 14
- 2θ = 86.33°, rel. 10



Simulated powder diffraction line list
Compound: Pr3Nd2Te5
Radiation: Cu Kα (weighted mean of Kα1 and Kα2)
Structure: a PBE-relaxed structure
Lines closer than 0.1° are merged.

Crystal structure
a = 8.420 Å, b = 8.420 Å, c = 11.522 Å
α = 124.35°, β = 124.35°, γ = 29.63°
Positions (direct):
Pr 0.000 0.000 0.000
Pr 0.380 0.380 0.631
Pr 0.620 0.620 0.369
Nd 0.153 0.153 0.747
Nd 0.847 0.847 0.253
Te 0.218 0.218 0.290
Te 0.386 0.386 0.077
Te 0.500 0.500 0.500
Te 0.614 0.614 0.923
Te 0.782 0.782 0.710

Principal peaks in the range 2θ from 10° to 90°, sorted by position:
- 2θ = 27.42°, rel. 100
- 2θ = 29.12°, rel. 55
- 2θ = 31.41°, rel. 30
- 2θ = 34.16°, rel. 24
- 2θ = 36.06°, rel. 29
- 2θ = 36.18°, rel. 22
- 2θ = 40.02°, rel. 19
- 2θ = 40.83°, rel. 23
- 2θ = 41.96°, rel. 30
- 2θ = 51.88°, rel. 24